Entry 1:
Computed XRD peak list
Compound: Sr2Sb5Pd3
Radiation: λ = 1.5418 Å (Cu Kα)
Structure: a cell relaxed with PBE
Intensities are scaled so that the largest is 1000.

Top 12 peaks for 10 to 90 degrees two-theta, most intense first:
2theta  I_rel
31.45  1000
32.15  688
38.28  542
35.21  379
42.65  349
35.51  247
37.13  246
52.99  236
60.41  222
54.39  174
40.98  169
64.98  120

Cell and atoms:
```
20
Lattice="2.3511 -13.4905 0.0000 2.3511 13.4905 0.0000 0.0000 0.0000 7.7834" Properties=species:S:1:pos:R:3 pbc="T T T"
Sr 2.3511 12.8875 3.8917
Sr 2.3511 4.6462 3.9736
Sr 2.3511 -4.6462 0.0819
Sr 2.3511 -12.8875 0.0000
Sb 2.3511 10.8403 6.6866
Sb 2.3511 7.9676 2.4381
Sb 2.3511 7.7629 5.6779
Sb 2.3511 3.2231 7.6871
Sb 2.3511 1.2821 5.2502
Sb 2.3511 -1.2821 1.3584
Sb 2.3511 -3.2231 3.7954
Sb 2.3511 -7.7629 1.7862
Sb 2.3511 -7.9676 6.3298
Sb 2.3511 -10.8403 2.7949
Pd 2.3511 10.6308 1.7490
Pd 2.3511 6.1017 0.2130
Pd 2.3511 1.4302 2.2550
Pd 2.3511 -1.4302 6.1467
Pd 2.3511 -6.1017 4.1047
Pd 2.3511 -10.6308 5.6407
```

Entry 2:
Computed XRD peak list
Compound: TbSb2Pd6
Radiation: λ = 1.5418 Å (Cu Kα)
Structure: a cell relaxed with PBE
Intensities are scaled so that the largest is 1000.

Top 12 peaks for 10 to 90 degrees two-theta, most intense first:
2theta  I_rel
41.28  1000
37.08  999
39.32  908
22.29  649
42.98  609
45.49  495
78.91  491
66.82  442
18.29  428
64.64  357
63.37  277
31.50  269

Cell and atoms:
```
9
Lattice="5.5995 0.0000 0.0000 -2.7998 4.8493 0.0000 0.0000 0.0000 7.0070" Properties=species:S:1:pos:R:3 pbc="T T T"
Tb 0.0000 0.0000 0.0000
Sb 0.0000 3.2329 3.5035
Sb 2.7998 1.6164 3.5035
Pd -1.3999 2.4247 1.3599
Pd -1.3999 2.4247 5.6472
Pd 2.7998 0.0000 1.3599
Pd 2.7998 0.0000 5.6472
Pd 1.3999 2.4247 1.3599
Pd 1.3999 2.4247 5.6472
```

Entry 3:
Computed XRD peak list
Compound: TcSbPd
Radiation: λ = 1.5418 Å (Cu Kα)
Structure: a cell relaxed with PBE
Intensities are scaled so that the largest is 1000.

Top 12 peaks for 10 to 90 degrees two-theta, most intense first:
2theta  I_rel
39.21  1000
33.12  512
43.44  269
41.46  223
59.16  207
73.31  180
54.06  163
33.86  152
74.81  136
81.87  121
48.44  114
80.15  110

Cell and atoms:
```
12
Lattice="13.0671 0.0000 0.0000 0.0000 3.1246 0.0000 0.0000 0.0000 5.4054" Properties=species:S:1:pos:R:3 pbc="T T T"
Tc 2.0606 0.0000 0.0000
Tc 2.0606 1.5623 2.7027
Tc 11.0065 0.0000 0.0000
Tc 11.0065 1.5623 2.7027
Sb 4.0493 0.0000 1.8335
Sb 4.0493 1.5623 4.5362
Sb 9.0179 0.0000 1.8335
Sb 9.0179 1.5623 4.5362
Pd 0.0000 0.0000 1.8078
Pd 0.0000 1.5623 4.5105
Pd 6.5336 0.0000 1.0361
Pd 6.5336 1.5623 3.7388
```

Entry 4:
Computed XRD peak list
Compound: TcSb6Pd
Radiation: λ = 1.5418 Å (Cu Kα)
Structure: a cell relaxed with PBE
Intensities are scaled so that the largest is 1000.

Top 12 peaks for 10 to 90 degrees two-theta, most intense first:
2theta  I_rel
29.75  1000
29.86  376
42.57  365
35.37  244
48.89  227
29.96  192
35.44  185
46.97  177
13.21  168
46.83  158
18.68  133
66.87  131

Cell and atoms:
```
16
Lattice="6.6740 -4.7512 0.0000 6.6740 4.7512 0.0000 -6.6390 0.0000 6.7172" Properties=species:S:1:pos:R:3 pbc="T T T"
Tc 3.3370 2.3756 0.0000
Tc 3.3370 -2.3756 0.0000
Sb 4.3750 3.2791 2.2577
Sb 2.3339 3.2791 4.4595
Sb -1.0276 1.5096 5.7122
Sb 3.2660 0.0000 1.1930
Sb 1.3106 0.0000 3.3858
Sb 7.7365 1.5096 1.0050
Sb -1.0276 -1.5096 5.7122
Sb 5.3983 0.0000 3.3315
Sb 3.4429 0.0000 5.5242
Sb 7.7365 -1.5096 1.0050
Sb 4.3750 -3.2791 2.2577
Sb 2.3339 -3.2791 4.4595
Pd 0.0175 2.3756 3.3586
Pd 0.0175 -2.3756 3.3586
```

Entry 5:
Computed XRD peak list
Compound: Sb2TePd4
Radiation: λ = 1.5418 Å (Cu Kα)
Structure: a cell relaxed with PBE
Intensities are scaled so that the largest is 1000.

Top 12 peaks for 10 to 90 degrees two-theta, most intense first:
2theta  I_rel
39.92  1000
42.05  542
37.01  488
29.13  374
26.10  246
50.21  162
53.05  135
39.12  130
64.72  119
36.77  117
72.52  109
33.47  107

Cell and atoms:
```
14
Lattice="5.9855 0.0000 0.0000 0.0000 10.7094 0.0000 0.0000 0.0000 4.5113" Properties=species:S:1:pos:R:3 pbc="T T T"
Sb 0.6950 1.9412 0.0000
Sb 2.2977 7.2959 0.0000
Sb 3.6878 3.4135 0.0000
Sb 5.2905 8.7682 0.0000
Te 0.0000 5.3547 2.2556
Te 2.9928 0.0000 2.2556
Pd 1.1283 8.2781 2.2556
Pd 1.4155 4.7698 0.0000
Pd 1.5773 10.1245 0.0000
Pd 1.8645 2.9234 2.2556
Pd 4.1210 7.7860 2.2556
Pd 4.4083 0.5849 0.0000
Pd 4.5700 5.9395 0.0000
Pd 4.8573 2.4313 2.2556
```

Entry 6:
Computed XRD peak list
Compound: SbTe4Pd10
Radiation: λ = 1.5418 Å (Cu Kα)
Structure: a cell relaxed with PBE
Intensities are scaled so that the largest is 1000.

Top 12 peaks for 10 to 90 degrees two-theta, most intense first:
2theta  I_rel
40.68  1000
40.88  988
24.64  670
74.21  328
28.59  134
58.77  110
73.89  110
48.19  110
59.08  110
74.35  109
59.28  108
74.57  108

Cell and atoms:
```
15
Lattice="3.1178 -3.1274 0.0000 3.1178 3.1274 0.0000 -3.0259 0.0000 15.7112" Properties=species:S:1:pos:R:3 pbc="T T T"
Sb 0.0000 0.0000 0.0000
Te 0.0408 0.0000 6.2754
Te 0.0767 0.0000 12.5996
Te 3.1330 0.0000 3.1115
Te 3.1688 0.0000 9.4358
Pd 1.5669 1.5584 1.5330
Pd 1.5865 1.5740 4.6928
Pd 1.6048 1.5605 7.8556
Pd 1.6232 1.5740 11.0183
Pd 1.6427 1.5584 14.1781
Pd 1.5669 -1.5584 1.5330
Pd 1.5865 -1.5740 4.6928
Pd 1.6048 -1.5605 7.8556
Pd 1.6232 -1.5740 11.0183
Pd 1.6427 -1.5584 14.1781
```

Entry 7:
Computed XRD peak list
Compound: Sb3TePd4
Radiation: λ = 1.5418 Å (Cu Kα)
Structure: a cell relaxed with PBE
Intensities are scaled so that the largest is 1000.

Top 12 peaks for 10 to 90 degrees two-theta, most intense first:
2theta  I_rel
23.31  1000
38.99  902
43.09  639
22.20  513
39.63  496
41.62  479
47.66  339
32.83  283
34.73  260
45.32  236
27.63  232
65.09  159

Cell and atoms:
```
16
Lattice="8.6802 0.0000 0.0000 0.0000 8.0098 0.0000 0.0000 0.0000 5.4572" Properties=species:S:1:pos:R:3 pbc="T T T"
Sb 0.0000 1.2210 0.0000
Sb 2.0800 5.0163 0.9036
Sb 2.2601 2.9935 3.6322
Sb 4.3401 6.7888 2.7286
Sb 6.4201 2.9935 3.6322
Sb 6.6002 5.0163 0.9036
Te 0.0000 7.1234 2.7555
Te 4.3401 0.8865 0.0269
Pd 0.0000 1.9020 2.7659
Pd 0.0000 6.4668 0.0416
Pd 2.0875 5.7189 3.6514
Pd 2.2526 2.2909 0.9228
Pd 4.3401 1.5431 2.7702
Pd 4.3401 6.1079 0.0373
Pd 6.4276 2.2909 0.9228
Pd 6.5927 5.7189 3.6514
```

Entry 8:
Computed XRD peak list
Compound: Sb2Te3Pd4
Radiation: λ = 1.5418 Å (Cu Kα)
Structure: a cell relaxed with PBE
Intensities are scaled so that the largest is 1000.

Top 12 peaks for 10 to 90 degrees two-theta, most intense first:
2theta  I_rel
32.45  1000
30.19  567
46.67  350
43.08  301
43.42  267
53.79  219
37.42  118
72.74  93
49.53  86
79.43  81
82.02  68
43.72  66

Cell and atoms:
```
9
Lattice="6.0256 -2.0843 0.0000 6.0256 2.0843 0.0000 -3.5753 0.0000 8.1803" Properties=species:S:1:pos:R:3 pbc="T T T"
Sb 0.8871 0.0000 2.7151
Sb 7.5889 0.0000 5.4651
Te -1.7024 0.0000 7.4282
Te 4.2380 0.0000 4.0901
Te 10.1784 0.0000 0.7521
Pd -0.1649 0.0000 5.2113
Pd 2.7435 0.0000 6.7248
Pd 5.7324 0.0000 1.4554
Pd 8.6408 0.0000 2.9689
```